This entry pairs a crystal structure of Ho2Cu7 with its computed X-ray powder pattern. Radiation: Cu Ka. Structure: a crystal structure in Alexandria, relaxed with GGA-PBE.
Peak positions follow from Bragg's law for the DFT cell and can differ from measured ones.

The 10 most intense peaks (2θ from 10° to 90°), by angle:
2θ 31.5, intensity 41
2θ 33.4, intensity 33
2θ 35.1, intensity 48
2θ 40.8, intensity 35
2θ 41.6, intensity 100
2θ 44.0, intensity 15
2θ 45.4, intensity 12
2θ 60.7, intensity 13
2θ 67.4, intensity 23
2θ 74.2, intensity 21

a = 12.689 Å, b = 12.689 Å, c = 12.689 Å
α = 23.24°, β = 23.24°, γ = 23.24°
Element x y z (fractional)
1 Ho 0.050 0.050 0.050
2 Ho 0.148 0.148 0.148
3 Ho 0.852 0.852 0.852
4 Ho 0.950 0.950 0.950
5 Cu 0.000 0.500 0.500
6 Cu 0.108 0.611 0.611
7 Cu 0.278 0.278 0.278
8 Cu 0.388 0.388 0.388
9 Cu 0.389 0.389 0.892
10 Cu 0.389 0.892 0.389
11 Cu 0.500 0.000 0.500
12 Cu 0.500 0.500 0.000
13 Cu 0.500 0.500 0.500
14 Cu 0.611 0.108 0.611
15 Cu 0.611 0.611 0.108
16 Cu 0.612 0.612 0.612
17 Cu 0.722 0.722 0.722
18 Cu 0.892 0.389 0.389